(1)
The following is a calculated powder diffraction line list of Rb2GaHgCl6. It was derived from a structure optimized by DFT (PBE), using λ = 1.5418 Å (Cu Kα).

Largest 10 diffraction maxima, low angle first, 2θ = 10–90°:
two_theta	d/Å	Rel. int.
16.83	5.269	25.1
23.89	3.725	100.0
28.09	3.177	17.0
34.03	2.634	61.5
42.01	2.151	45.1
48.90	1.863	41.0
55.12	1.666	23.0
60.91	1.521	13.5
66.39	1.408	25.6
81.74	1.178	16.9

Structure:
```
data_Rb2GaHgCl6
_chemical_formula_sum 'Rb8 Ga4 Hg4 Cl24'
_space_group_name_H-M_alt 'F m -3 m'
_space_group_IT_number 225
_space_group_name_Hall '-F 4 2 3'
_cell_length_a 10.537
_cell_length_b 10.537
_cell_length_c 10.537
_cell_angle_alpha 90.00
_cell_angle_beta 90.00
_cell_angle_gamma 90.00
loop_
_atom_site_label
_atom_site_type_symbol
_atom_site_fract_x
_atom_site_fract_y
_atom_site_fract_z
Rb1 Rb 0.250 0.250 0.250
Ga1 Ga 0.000 0.000 0.000
Hg1 Hg 0.000 0.000 0.500
Cl1 Cl 0.000 0.000 0.231
```


(2)
The following is a calculated powder diffraction line list of InGa2Cl7. It was derived from a structure optimized by DFT (PBE), using λ = 1.5418 Å (Cu Kα).

Largest 10 diffraction maxima, low angle first, 2θ = 10–90°:
two_theta	d/Å	Rel. int.
16.41	5.401	100.0
20.08	4.422	49.2
20.24	4.387	82.8
21.82	4.073	49.0
23.64	3.763	43.7
26.17	3.405	57.7
28.66	3.115	69.8
28.89	3.091	47.0
29.93	2.986	79.6
42.00	2.151	41.8

Structure:
```
data_InGa2Cl7
_chemical_formula_sum 'In4 Ga8 Cl28'
_space_group_name_H-M_alt 'P n a 21'
_space_group_IT_number 33
_cell_length_a 12.413
_cell_length_b 9.380
_cell_length_c 10.963
_cell_angle_alpha 90.00
_cell_angle_beta 90.00
_cell_angle_gamma 90.00
loop_
_space_group_symop_operation_xyz
'x,y,z'
'-x,-y,z+1/2'
'-x+1/2,y+1/2,z+1/2'
'x+1/2,-y+1/2,z'
loop_
_atom_site_label
_atom_site_type_symbol
_atom_site_fract_x
_atom_site_fract_y
_atom_site_fract_z
In1 In 0.112 0.139 0.000
Ga1 Ga 0.116 0.617 0.866
Ga2 Ga 0.176 0.067 0.623
Cl1 Cl 0.014 0.795 0.815
Cl2 Cl 0.022 0.159 0.675
Cl3 Cl 0.035 0.461 0.982
Cl4 Cl 0.158 0.874 0.513
Cl5 Cl 0.209 0.522 0.720
Cl6 Cl 0.216 0.547 0.279
Cl7 Cl 0.243 0.732 0.994
```


(3)
The following is a calculated powder diffraction line list of K3GaCl6. It was derived from a structure optimized by DFT (PBE), using λ = 1.5418 Å (Cu Kα).

Largest 10 diffraction maxima, low angle first, 2θ = 10–90°:
two_theta	d/Å	Rel. int.
14.36	6.167	32.2
16.60	5.341	46.5
23.56	3.777	55.8
28.96	3.084	39.3
33.56	2.671	100.0
37.66	2.389	15.9
41.41	2.180	19.1
48.19	1.888	59.1
60.00	1.542	17.6
80.41	1.194	19.0

Structure:
```
data_K3GaCl6
_chemical_formula_sum 'K12 Ga4 Cl24'
_space_group_name_H-M_alt 'F m -3 m'
_space_group_IT_number 225
_space_group_name_Hall '-F 4 2 3'
_cell_length_a 10.682
_cell_length_b 10.682
_cell_length_c 10.682
_cell_angle_alpha 90.00
_cell_angle_beta 90.00
_cell_angle_gamma 90.00
loop_
_atom_site_label
_atom_site_type_symbol
_atom_site_fract_x
_atom_site_fract_y
_atom_site_fract_z
K1 K 0.000 0.000 0.000
K2 K 0.250 0.250 0.250
Ga1 Ga 0.000 0.000 0.500
Cl1 Cl 0.000 0.000 0.276
```


(4)
The following is a calculated powder diffraction line list of KRb2GaCl6. It was derived from a structure optimized by DFT (PBE), using λ = 1.5418 Å (Cu Kα).

Largest 10 diffraction maxima, low angle first, 2θ = 10–90°:
two_theta	d/Å	Rel. int.
14.25	6.218	21.5
23.36	3.807	100.0
28.72	3.109	56.8
33.28	2.692	96.0
41.06	2.198	39.4
47.78	1.904	59.6
53.84	1.703	26.1
59.47	1.554	18.5
64.78	1.439	26.2
79.63	1.204	20.9

Structure:
```
data_KRb2GaCl6
_chemical_formula_sum 'K4 Rb8 Ga4 Cl24'
_space_group_name_H-M_alt 'F m -3 m'
_space_group_IT_number 225
_space_group_name_Hall '-F 4 2 3'
_cell_length_a 10.769
_cell_length_b 10.769
_cell_length_c 10.769
_cell_angle_alpha 90.00
_cell_angle_beta 90.00
_cell_angle_gamma 90.00
loop_
_atom_site_label
_atom_site_type_symbol
_atom_site_fract_x
_atom_site_fract_y
_atom_site_fract_z
K1 K 0.000 0.000 0.000
Rb1 Rb 0.250 0.250 0.250
Ga1 Ga 0.000 0.000 0.500
Cl1 Cl 0.000 0.000 0.278
```


(5)
The following is a calculated powder diffraction line list of K2TlGaCl6. It was derived from a structure optimized by DFT (PBE), using λ = 1.5418 Å (Cu Kα).

Largest 10 diffraction maxima, low angle first, 2θ = 10–90°:
two_theta	d/Å	Rel. int.
16.37	5.414	97.1
23.24	3.828	100.0
27.32	3.265	29.5
33.09	2.707	74.0
36.16	2.484	26.3
37.14	2.421	44.4
40.83	2.210	41.3
47.50	1.914	47.1
53.53	1.712	25.7
64.39	1.447	26.4

Structure:
```
data_K2TlGaCl6
_chemical_formula_sum 'K8 Tl4 Ga4 Cl24'
_space_group_name_H-M_alt 'F m -3 m'
_space_group_IT_number 225
_space_group_name_Hall '-F 4 2 3'
_cell_length_a 10.827
_cell_length_b 10.827
_cell_length_c 10.827
_cell_angle_alpha 90.00
_cell_angle_beta 90.00
_cell_angle_gamma 90.00
loop_
_atom_site_label
_atom_site_type_symbol
_atom_site_fract_x
_atom_site_fract_y
_atom_site_fract_z
K1 K 0.250 0.250 0.250
Tl1 Tl 0.000 0.000 0.000
Ga1 Ga 0.000 0.000 0.500
Cl1 Cl 0.000 0.000 0.279
```


(6)
The following is a calculated powder diffraction line list of La10Ga5Cl4. It was derived from a structure optimized by DFT (PBE), using λ = 1.5418 Å (Cu Kα).

Largest 10 diffraction maxima, low angle first, 2θ = 10–90°:
two_theta	d/Å	Rel. int.
24.77	3.595	15.5
31.31	2.857	32.4
31.45	2.844	100.0
31.87	2.808	11.5
35.08	2.558	47.8
35.61	2.521	14.4
39.13	2.302	10.2
46.37	1.958	10.3
50.58	1.805	20.1
65.33	1.428	12.4

Structure:
```
data_La10Ga5Cl4
_chemical_formula_sum 'La40 Ga20 Cl16'
_space_group_name_H-M_alt 'I 4/m c m'
_space_group_IT_number 140
_space_group_name_Hall '-I 4 2c'
_cell_length_a 8.089
_cell_length_b 8.089
_cell_length_c 32.228
_cell_angle_alpha 90.00
_cell_angle_beta 90.00
_cell_angle_gamma 90.00
loop_
_atom_site_label
_atom_site_type_symbol
_atom_site_fract_x
_atom_site_fract_y
_atom_site_fract_z
La1 La 0.000 0.000 0.151
La2 La 0.167 0.333 0.203
La3 La 0.175 0.325 0.069
Ga1 Ga 0.000 0.000 0.250
Ga2 Ga 0.120 0.380 0.368
Cl1 Cl 0.000 0.000 0.055
Cl2 Cl 0.140 0.360 0.500
```


What did the sixth record say?
The following is a calculated powder diffraction line list of La10Ga5Cl4. It was derived from a structure optimized by DFT (PBE), using λ = 1.5418 Å (Cu Kα).

Largest 10 diffraction maxima, low angle first, 2θ = 10–90°:
two_theta	d/Å	Rel. int.
24.77	3.595	15.5
31.31	2.857	32.4
31.45	2.844	100.0
31.87	2.808	11.5
35.08	2.558	47.8
35.61	2.521	14.4
39.13	2.302	10.2
46.37	1.958	10.3
50.58	1.805	20.1
65.33	1.428	12.4

Structure:
```
data_La10Ga5Cl4
_chemical_formula_sum 'La40 Ga20 Cl16'
_space_group_name_H-M_alt 'I 4/m c m'
_space_group_IT_number 140
_space_group_name_Hall '-I 4 2c'
_cell_length_a 8.089
_cell_length_b 8.089
_cell_length_c 32.228
_cell_angle_alpha 90.00
_cell_angle_beta 90.00
_cell_angle_gamma 90.00
loop_
_atom_site_label
_atom_site_type_symbol
_atom_site_fract_x
_atom_site_fract_y
_atom_site_fract_z
La1 La 0.000 0.000 0.151
La2 La 0.167 0.333 0.203
La3 La 0.175 0.325 0.069
Ga1 Ga 0.000 0.000 0.250
Ga2 Ga 0.120 0.380 0.368
Cl1 Cl 0.000 0.000 0.055
Cl2 Cl 0.140 0.360 0.500
```


> Which formula does entry 1 have?

Rb2GaHgCl6